The following is a simulated powder diffractogram of Tb3MgSc3Se8. It was derived from a crystal structure in Alexandria, relaxed with PBE, using a wavelength of 1.5418 Å.

Top 8 peaks for 2θ from 10° to 90°, in order of rising 2θ:
2theta	I (rel.)
26.39	15
31.88	100
45.55	36
45.87	36
56.95	19
75.54	15
76.02	16
84.68	12

Cell and atoms:
a b c (Å): 7.9661 7.9661 7.9661
angles (deg): 59.56 59.56 59.56
Fractional coordinates of all 15 atoms:
Tb 0.0000 0.5000 0.5000
Tb 0.5000 0.0000 0.5000
Tb 0.5000 0.5000 0.0000
Mg 0.5000 0.5000 0.5000
Sc 0.0000 0.0000 0.5000
Sc 0.0000 0.5000 0.0000
Sc 0.5000 0.0000 0.0000
Se 0.2425 0.7468 0.7468
Se 0.2444 0.2444 0.2444
Se 0.2532 0.2532 0.7575
Se 0.2532 0.7575 0.2532
Se 0.7468 0.2425 0.7468
Se 0.7468 0.7468 0.2425
Se 0.7556 0.7556 0.7556
Se 0.7575 0.2532 0.2532